Structure and theoretical PXRD pattern of KHg2P2S7 (a PBE-relaxed structure; Cu Kα (λ = 1.5418 Å)).

Atomic structure:
abc: 11.5744 11.5744 11.5744
angles: 32.40 32.40 32.40
Fractional positions:
K1 0.0000 0.0000 0.0000
Hg1 0.2466 0.2466 0.2466
Hg2 0.7534 0.7534 0.7534
P1 0.4332 0.4332 0.4332
P2 0.5668 0.5668 0.5668
S1 0.1347 0.3659 0.7325
S2 0.2675 0.6341 0.8653
S3 0.3659 0.7325 0.1347
S4 0.5000 0.5000 0.5000
S5 0.6341 0.8653 0.2675
S6 0.7325 0.1347 0.3659
S7 0.8653 0.2675 0.6341

Principal peaks in the range 15 to 90 degrees two-theta, in order of falling intensity:
19.20 deg, I = 100.0
16.18 deg, I = 91.0
27.63 deg, I = 50.4
33.86 deg, I = 40.1
16.75 deg, I = 39.7
26.93 deg, I = 34.1
32.18 deg, I = 31.7
44.24 deg, I = 28.2
43.32 deg, I = 24.1
32.69 deg, I = 21.5

=====

Structure and theoretical PXRD pattern of K3Hg4Pb2 (a PBE-relaxed structure; Cu Kα (λ = 1.5418 Å)).

Atomic structure:
abc: 6.9634 6.9634 10.0120
angles: 110.20 110.20 43.64
Fractional positions:
K1 0.0000 0.0000 0.0000
K2 0.3690 0.3690 0.3083
K3 0.6310 0.6310 0.6917
Hg1 0.0838 0.0838 0.4240
Hg2 0.2708 0.2708 0.9321
Hg3 0.7292 0.7292 0.0679
Hg4 0.9162 0.9162 0.5760
Pb1 0.3348 0.3348 0.6629
Pb2 0.6652 0.6652 0.3371

Principal peaks in the range 15 to 90 degrees two-theta, in order of falling intensity:
34.02 deg, I = 100.0
34.66 deg, I = 74.8
20.38 deg, I = 69.6
19.69 deg, I = 56.7
40.58 deg, I = 48.1
28.79 deg, I = 44.6
28.19 deg, I = 43.8
39.33 deg, I = 37.3
19.33 deg, I = 26.3
41.46 deg, I = 21.0

=====

Structure and theoretical PXRD pattern of KHg4Pb (a PBE-relaxed structure; Cu Kα (λ = 1.5418 Å)).

Atomic structure:
abc: 3.4102 5.4179 9.2920
angles: 90.00 90.00 90.00
Fractional positions:
K1 0.0000 0.0000 0.0000
Hg1 0.5000 0.0000 0.3377
Hg2 0.5000 0.0000 0.6623
Hg3 0.5000 0.5000 0.1738
Hg4 0.5000 0.5000 0.8262
Pb1 0.0000 0.5000 0.5000

Principal peaks in the range 15 to 90 degrees two-theta, in order of falling intensity:
32.51 deg, I = 100.0
33.32 deg, I = 81.4
33.07 deg, I = 41.9
59.18 deg, I = 29.2
47.10 deg, I = 24.9
64.74 deg, I = 24.5
42.83 deg, I = 23.3
26.13 deg, I = 21.2
64.58 deg, I = 12.5
84.10 deg, I = 12.4